For HfMnGe2, a cell relaxed with PBE gives the computed X-ray powder pattern in this record (Cu Kα (λ = 1.5418 Å)).
Intensities are scaled so that the largest is 100.

Structural model:
Cell lengths 9.207, 10.083, 8.077 Å; angles 90.00, 90.00, 90.00 degrees
Atoms (fractional coordinates):
Hf: 0.165 0.179 0.000
Hf: 0.172 0.453 0.242
Hf: 0.172 0.453 0.758
Hf: 0.328 0.953 0.242
Hf: 0.328 0.953 0.758
Hf: 0.335 0.679 0.000
Hf: 0.665 0.321 0.000
Hf: 0.672 0.047 0.242
Hf: 0.672 0.047 0.758
Hf: 0.828 0.547 0.242
Hf: 0.828 0.547 0.758
Hf: 0.835 0.821 0.000
Mn: 0.000 0.000 0.246
Mn: 0.000 0.000 0.754
Mn: 0.090 0.751 0.250
Mn: 0.090 0.751 0.750
Mn: 0.410 0.251 0.250
Mn: 0.410 0.251 0.750
Mn: 0.500 0.500 0.246
Mn: 0.500 0.500 0.754
Mn: 0.590 0.749 0.250
Mn: 0.590 0.749 0.750
Mn: 0.910 0.249 0.250
Mn: 0.910 0.249 0.750
Ge: 0.040 0.621 0.000
Ge: 0.048 0.621 0.500
Ge: 0.130 0.898 0.000
Ge: 0.130 0.903 0.500
Ge: 0.161 0.184 0.343
Ge: 0.161 0.184 0.657
Ge: 0.339 0.684 0.343
Ge: 0.339 0.684 0.657
Ge: 0.370 0.398 0.000
Ge: 0.370 0.403 0.500
Ge: 0.452 0.121 0.500
Ge: 0.460 0.121 0.000
Ge: 0.540 0.879 0.000
Ge: 0.548 0.879 0.500
Ge: 0.630 0.597 0.500
Ge: 0.630 0.602 0.000
Ge: 0.661 0.316 0.343
Ge: 0.661 0.316 0.657
Ge: 0.839 0.816 0.343
Ge: 0.839 0.816 0.657
Ge: 0.870 0.097 0.500
Ge: 0.870 0.102 0.000
Ge: 0.952 0.379 0.500
Ge: 0.960 0.379 0.000

Largest 12 diffraction maxima, low angle first, 10 to 90 degrees two-theta:
two_theta  I (rel.)
28.3  23
30.0  16
37.0  51
37.9  100
39.2  22
39.8  66
40.0  64
40.2  27
42.3  33
44.9  30
78.1  16
81.0  17


For Nb2AlB6, a cell relaxed with PBE gives the computed X-ray powder pattern in this record (Cu Kα (λ = 1.5418 Å)).
Intensities are scaled so that the largest is 100.

Structural model:
Cell lengths 3.043, 3.043, 10.310 Å; angles 90.00, 90.00, 120.00 degrees
Atoms (fractional coordinates):
Nb: 0.000 0.000 0.164
Nb: 0.000 0.000 0.836
Al: 0.000 0.000 0.500
B: 0.333 0.667 0.000
B: 0.333 0.667 0.341
B: 0.333 0.667 0.659
B: 0.667 0.333 0.000
B: 0.667 0.333 0.341
B: 0.667 0.333 0.659

Largest 12 diffraction maxima, low angle first, 10 to 90 degrees two-theta:
two_theta  I (rel.)
17.2  11
25.9  32
34.0  65
35.1  16
38.4  10
43.3  100
53.3  10
60.9  20
64.8  20
67.3  14
77.6  17
85.2  16


For TbMgRh2, a cell relaxed with PBE gives the computed X-ray powder pattern in this record (Cu Kα (λ = 1.5418 Å)).
Intensities are scaled so that the largest is 100.

Structural model:
Cell lengths 4.664, 4.664, 4.664 Å; angles 60.00, 60.00, 60.00 degrees
Atoms (fractional coordinates):
Tb: 0.000 0.000 0.000
Mg: 0.500 0.500 0.500
Rh: 0.250 0.250 0.250
Rh: 0.750 0.750 0.750

Largest 10 diffraction maxima, low angle first, 10 to 90 degrees two-theta:
two_theta  I (rel.)
23.4  27
27.0  1
38.6  100
45.6  14
55.7  17
61.3  6
69.9  34
74.8  4
82.8  11
87.5  5


For K2LiNbO4, a cell relaxed with PBE gives the computed X-ray powder pattern in this record (Cu Kα (λ = 1.5418 Å)).
Intensities are scaled so that the largest is 100.

Structural model:
Cell lengths 6.153, 8.680, 10.833 Å; angles 87.62, 80.91, 89.40 degrees
Atoms (fractional coordinates):
K: 0.000 0.000 0.000
K: 0.013 0.772 0.601
K: 0.336 0.317 0.806
K: 0.436 0.966 0.356
K: 0.513 0.561 0.501
K: 0.529 0.725 0.103
K: 0.821 0.250 0.265
K: 0.937 0.528 0.933
Li: 0.105 0.472 0.386
Li: 0.295 0.250 0.483
Li: 0.395 0.043 0.630
Li: 0.593 0.055 0.902
Nb: 0.372 0.278 0.128
Nb: 0.482 0.797 0.769
Nb: 0.868 0.217 0.617
Nb: 0.998 0.726 0.259
O: 0.030 0.398 0.563
O: 0.097 0.720 0.088
O: 0.103 0.077 0.566
O: 0.122 0.285 0.051
O: 0.238 0.698 0.350
O: 0.294 0.292 0.308
O: 0.317 0.617 0.774
O: 0.344 0.988 0.814
O: 0.518 0.089 0.085
O: 0.558 0.435 0.062
O: 0.567 0.842 0.597
O: 0.593 0.216 0.552
O: 0.726 0.793 0.853
O: 0.791 0.206 0.789
O: 0.836 0.548 0.319
O: 0.849 0.914 0.283

Largest 12 diffraction maxima, low angle first, 10 to 90 degrees two-theta:
two_theta  I (rel.)
15.6  24
16.6  22
19.2  26
20.5  100
20.8  39
25.5  37
26.2  27
27.0  97
29.4  28
31.0  46
31.2  41
33.4  26


For CsMg14W, a cell relaxed with PBE gives the computed X-ray powder pattern in this record (Cu Kα (λ = 1.5418 Å)).
Intensities are scaled so that the largest is 100.

Structural model:
Cell lengths 10.438, 6.427, 6.427 Å; angles 61.43, 90.00, 90.00 degrees
Atoms (fractional coordinates):
Cs: 0.000 0.000 0.000
Mg: 0.000 0.001 0.495
Mg: 0.000 0.495 0.001
Mg: 0.235 0.655 0.655
Mg: 0.253 0.182 0.643
Mg: 0.253 0.643 0.182
Mg: 0.272 0.169 0.169
Mg: 0.500 0.495 0.495
Mg: 0.500 0.502 0.989
Mg: 0.500 0.989 0.502
Mg: 0.500 0.992 0.992
Mg: 0.728 0.169 0.169
Mg: 0.747 0.182 0.643
Mg: 0.747 0.643 0.182
Mg: 0.765 0.655 0.655
W: 0.000 0.482 0.482

Largest 12 diffraction maxima, low angle first, 10 to 90 degrees two-theta:
two_theta  I (rel.)
16.0  34
17.0  31
18.2  51
23.4  28
31.7  31
32.9  25
34.4  35
36.2  100
36.8  43
47.5  20
62.7  18
68.6  18


For Ti2Cu3, a cell relaxed with PBE gives the computed X-ray powder pattern in this record (Cu Kα (λ = 1.5418 Å)).
Intensities are scaled so that the largest is 100.

Structural model:
Cell lengths 7.379, 7.379, 7.379 Å; angles 155.46, 155.46, 34.98 degrees
Atoms (fractional coordinates):
Ti: 0.105 0.105 0.000
Ti: 0.895 0.895 0.000
Cu: 0.295 0.295 0.000
Cu: 0.500 0.500 0.000
Cu: 0.705 0.705 0.000

Largest 12 diffraction maxima, low angle first, 10 to 90 degrees two-theta:
two_theta  I (rel.)
12.6  3
25.3  2
29.2  3
40.7  61
43.2  100
48.5  2
54.2  1
58.9  19
66.4  6
75.8  33
80.9  13
88.1  6